Y12Ho2Er5: calculated powder diffraction line list (Cu Kα (λ = 1.5418 Å)), based on a structure optimized by DFT (GGA-PBE).

```
data_Y12Ho2Er5
_chemical_formula_sum 'Y12 Ho2 Er5'
_space_group_name_H-M_alt 'P -1'
_space_group_IT_number 2
_cell_length_a 6.711
_cell_length_b 8.812
_cell_length_c 11.326
_cell_angle_alpha 110.96
_cell_angle_beta 92.36
_cell_angle_gamma 100.68
loop_
_space_group_symop_operation_xyz
'x,y,z'
'-x,-y,-z'
loop_
_atom_site_label
_atom_site_type_symbol
_atom_site_fract_x
_atom_site_fract_y
_atom_site_fract_z
Y1 Y 0.108 0.191 0.223
Y2 Y 0.121 0.357 0.769
Y3 Y 0.163 0.946 0.588
Y4 Y 0.336 0.929 0.313
Y5 Y 0.342 0.524 0.131
Y6 Y 0.385 0.720 0.756
Ho1 Ho 0.120 0.768 0.016
Er1 Er 0.000 0.500 0.500
Er2 Er 0.344 0.116 0.932
Er3 Er 0.456 0.320 0.537
```

Principal peaks in the range 2θ from 15° to 90°, in order of rising 2θ:
| 2θ/deg | I/Imax | hkl |
| --- | --- | --- |
| 31.26 | 48.1 | 0 3 -1 |
| 31.49 | 100.0 | 1 -3 1 |
| 31.60 | 92.4 | 2 -1 2 |
| 32.08 | 42.9 | -1 1 3 |
| 32.28 | 59.5 | 2 1 -2 |
| 32.48 | 60.0 | 1 2 1 |
| 32.62 | 21.5 | -2 1 2 |
| 33.09 | 63.0 | 0 2 -4 |
| 33.84 | 28.9 | -2 2 1 |
| 62.38 | 22.5 | 1 3 4 |

=====

Y4Ho6Er19: calculated powder diffraction line list (Cu Kα (λ = 1.5418 Å)), based on a structure optimized by DFT (GGA-PBE).

```
data_Y4Ho6Er19
_chemical_formula_sum 'Y8 Ho12 Er38'
_space_group_name_H-M_alt 'I 2 3'
_space_group_IT_number 197
_space_group_name_Hall 'I 2 2 3'
_cell_length_a 12.376
_cell_length_b 12.376
_cell_length_c 12.376
_cell_angle_alpha 90.00
_cell_angle_beta 90.00
_cell_angle_gamma 90.00
loop_
_atom_site_label
_atom_site_type_symbol
_atom_site_fract_x
_atom_site_fract_y
_atom_site_fract_z
Y1 Y 0.179 0.179 0.179
Ho1 Ho 0.000 0.129 0.500
Er1 Er 0.000 0.000 0.000
Er2 Er 0.000 0.000 0.263
Er3 Er 0.064 0.276 0.739
```

Principal peaks in the range 2θ from 15° to 90°, in order of rising 2θ:
| 2θ/deg | I/Imax | hkl |
| --- | --- | --- |
| 26.96 | 75.1 | 3 2 1 |
| 28.86 | 87.5 | 4 0 0 |
| 30.65 | 100.0 | 4 1 1 |
| 35.53 | 59.8 | 4 2 2 |
| 37.04 | 95.7 | 4 3 1 |
| 42.59 | 24.8 | 4 3 3 |
| 47.62 | 26.5 | 5 1 4 |
| 54.48 | 27.6 | 6 3 3 |
| 60.80 | 38.3 | 7 4 1 |
| 61.81 | 23.6 | 8 2 0 |

=====

Y2Ho3Er5: calculated powder diffraction line list (Cu Kα (λ = 1.5418 Å)), based on a structure optimized by DFT (GGA-PBE).

```
data_Y2Ho3Er5
_chemical_formula_sum 'Y8 Ho12 Er20'
_space_group_name_H-M_alt 'C 1 2/c 1'
_space_group_IT_number 15
_cell_length_a 10.586
_cell_length_b 15.500
_cell_length_c 9.458
_cell_angle_alpha 90.00
_cell_angle_beta 123.97
_cell_angle_gamma 90.00
loop_
_space_group_symop_operation_xyz
'x,y,z'
'-x,-y,-z'
'-x,y,-z+1/2'
'x,-y,z+1/2'
'x+1/2,y+1/2,z'
'-x+1/2,-y+1/2,-z'
'-x+1/2,y+1/2,-z+1/2'
'x+1/2,-y+1/2,z+1/2'
loop_
_atom_site_label
_atom_site_type_symbol
_atom_site_fract_x
_atom_site_fract_y
_atom_site_fract_z
Y1 Y 0.154 0.123 0.047
Ho1 Ho 0.000 0.273 0.750
Ho2 Ho 0.144 0.373 0.549
Er1 Er 0.000 0.025 0.250
Er2 Er 0.000 0.225 0.250
Er3 Er 0.000 0.480 0.750
Er4 Er 0.238 0.126 0.724
```

Principal peaks in the range 2θ from 15° to 90°, in order of rising 2θ:
| 2θ/deg | I/Imax | hkl |
| --- | --- | --- |
| 30.63 | 82.0 | 2 2 1 |
| 30.79 | 100.0 | 2 4 -2 |
| 32.48 | 17.6 | 0 4 2 |
| 33.87 | 41.1 | 4 0 -2 |
| 49.61 | 18.2 | 0 6 3 |
| 58.59 | 22.1 | 4 0 2 |
| 58.69 | 16.0 | 6 4 -4 |
| 61.43 | 18.9 | 4 6 -5 |
| 66.70 | 17.0 | 2 4 4 |
| 67.32 | 19.1 | 2 10 1 |